For CeMg6C, a PBE-relaxed structure gives the calculated XRD peak list in this record (CuKα).
Peak positions follow from Bragg's law for the DFT cell and can differ from measured ones.

Peak list (10 most intense, 2θ = 5–70°, in order of rising 2θ)
13.6°, d = 6.527 Å, intensity 53, (0 0 2)
17.4°, d = 5.095 Å, intensity 93, (0 1 1)
25.5°, d = 3.497 Å, intensity 100, (1 1 1)
26.0°, d = 3.421 Å, intensity 38, (0 1 3)
32.1°, d = 2.788 Å, intensity 73, (1 1 3)
33.2°, d = 2.701 Å, intensity 96, (1 0 4)
35.2°, d = 2.548 Å, intensity 48, (0 2 2)
37.4°, d = 2.405 Å, intensity 44, (2 0 0)
38.1°, d = 2.361 Å, intensity 32, (0 1 5)
40.0°, d = 2.252 Å, intensity 90, (1 2 2)

Cell and atoms:
Lattice parameters (Å, degrees): 4.809 5.534 13.054 90.00 90.00 90.00
Space group Amm2 (No. 38)
Unique sites:
Ce 0.000 0.000 0.000
Mg 0.000 0.246 0.259
Mg 0.500 0.000 0.162
Mg 0.500 0.000 0.600
Mg 0.500 0.242 0.386
C 0.000 0.000 0.410